The following is a computed XRD peak list of CsErSiS4. It was derived from a GGA-PBE-relaxed structure, using Cu Kα X-rays.
Neutral-atom scattering factors, no anomalous dispersion.

Cell and atoms:
```
CsErSiS4
1.0
6.3474 0.0000 0.0000
0.0000 6.6913 0.0000
0.0000 0.0000 17.8110
Cs Er Si S
4 4 4 16
Direct
0.0021 0.0077 0.0317 Cs
0.4979 0.9923 0.5317 Cs
0.5021 0.4923 0.9683 Cs
0.9979 0.5077 0.4683 Cs
0.2087 0.5215 0.7285 Er
0.2913 0.4785 0.2285 Er
0.7087 0.9785 0.2715 Er
0.7913 0.0215 0.7715 Er
0.2096 0.0180 0.3310 Si
0.2904 0.9820 0.8310 Si
0.7096 0.4820 0.6690 Si
0.7904 0.5180 0.1690 Si
0.0560 0.5129 0.0975 S
0.0644 0.7511 0.8517 S
0.1030 0.2475 0.8421 S
0.1037 0.0797 0.2200 S
0.3963 0.9203 0.7200 S
0.3970 0.7525 0.3421 S
0.4356 0.2489 0.3517 S
0.4440 0.4871 0.5975 S
0.5560 0.9871 0.9025 S
0.5644 0.7489 0.1483 S
0.6030 0.2525 0.1579 S
0.6037 0.4203 0.7800 S
0.8963 0.5797 0.2800 S
0.8970 0.7475 0.6579 S
0.9356 0.2511 0.6483 S
0.9440 0.0129 0.4025 S
```

The 10 most intense peaks (2θ = 10–90°), in order of rising 2θ:
19.27 deg, I 40; 19.92 deg, I 100; 21.73 deg, I 58; 24.01 deg, I 44; 26.64 deg, I 59; 27.87 deg, I 36; 29.89 deg, I 66; 33.50 deg, I 46; 40.46 deg, I 71; 43.90 deg, I 41

***

The following is a computed XRD peak list of Al8Re5. It was derived from a GGA-PBE-relaxed structure, using Cu Kα X-rays.
Neutral-atom scattering factors, no anomalous dispersion.

Cell and atoms:
```
Al8Re5
1.0
2.4742 1.4285 9.0297
-2.4742 1.4285 9.0297
0.0000 -2.8569 9.0297
Al Re
8 5
Direct
0.0887 0.5856 0.5856 Al
0.1511 0.1511 0.1511 Al
0.4144 0.4144 0.9113 Al
0.4144 0.9113 0.4144 Al
0.5856 0.0887 0.5856 Al
0.5856 0.5856 0.0887 Al
0.8489 0.8489 0.8489 Al
0.9113 0.4144 0.4144 Al
0.0449 0.0449 0.0449 Re
0.3331 0.3331 0.3331 Re
0.5000 0.5000 0.5000 Re
0.6669 0.6669 0.6669 Re
0.9551 0.9551 0.9551 Re
```

The 10 most intense peaks (2θ = 10–90°), in order of rising 2θ:
19.66 deg, I 27; 21.75 deg, I 31; 31.14 deg, I 30; 36.31 deg, I 100; 37.70 deg, I 31; 41.62 deg, I 60; 42.33 deg, I 54; 48.58 deg, I 41; 62.13 deg, I 19; 69.46 deg, I 24

***

The following is a computed XRD peak list of ZnI2. It was derived from a GGA-PBE-relaxed structure, using Cu Kα X-rays.
Neutral-atom scattering factors, no anomalous dispersion.

Cell and atoms:
```
ZnI2
1.0
-6.3144 6.3144 11.9796
6.3144 -6.3144 11.9796
6.3144 6.3144 -11.9796
Zn I
16 32
Direct
0.0618 0.2954 0.9838 Zn
0.0780 0.0618 0.2664 Zn
0.1884 0.9220 0.4838 Zn
0.2046 0.4382 0.5162 Zn
0.2954 0.8116 0.2336 Zn
0.3116 0.7954 0.7336 Zn
0.4220 0.6884 0.9838 Zn
0.4382 0.4220 0.2336 Zn
0.5618 0.5780 0.7664 Zn
0.5780 0.3116 0.0162 Zn
0.6884 0.2046 0.2664 Zn
0.7046 0.1884 0.7664 Zn
0.7954 0.5618 0.4838 Zn
0.8116 0.0780 0.5162 Zn
0.9220 0.9382 0.7336 Zn
0.9382 0.7046 0.0162 Zn
0.0038 0.2538 0.7500 I
0.0212 0.2500 0.2712 I
0.1098 0.6287 0.9907 I
0.1190 0.1098 0.9810 I
0.1287 0.6098 0.4907 I
0.1380 0.1190 0.5093 I
0.2462 0.4962 0.7500 I
0.2500 0.4788 0.2288 I
0.2500 0.9788 0.7288 I
0.2538 0.0038 0.2500 I
0.3620 0.8713 0.9810 I
0.3713 0.8620 0.4810 I
0.3810 0.3620 0.9907 I
0.3902 0.3810 0.5190 I
0.4788 0.7500 0.2288 I
0.4962 0.2462 0.2500 I
0.5038 0.7538 0.7500 I
0.5212 0.2500 0.7712 I
0.6098 0.6190 0.4810 I
0.6190 0.6380 0.0093 I
0.6287 0.1380 0.5190 I
0.6380 0.1287 0.0190 I
0.7462 0.9962 0.7500 I
0.7500 0.0212 0.2712 I
0.7500 0.5212 0.7712 I
0.7538 0.5038 0.2500 I
0.8620 0.8810 0.4907 I
0.8713 0.3902 0.5093 I
0.8810 0.8902 0.0190 I
0.8902 0.3713 0.0093 I
0.9788 0.7500 0.7288 I
0.9962 0.7462 0.2500 I
```

The 10 most intense peaks (2θ = 10–90°), in order of rising 2θ:
19.25 deg, I 13; 24.87 deg, I 100; 28.27 deg, I 18; 29.83 deg, I 8; 40.40 deg, I 20; 41.56 deg, I 40; 48.03 deg, I 28; 50.04 deg, I 14; 66.19 deg, I 13; 74.26 deg, I 10

***

The following is a computed XRD peak list of Dy2HoNi2. It was derived from a GGA-PBE-relaxed structure, using Cu Kα X-rays.
Neutral-atom scattering factors, no anomalous dispersion.

Cell and atoms:
```
Dy2HoNi2
1.0
6.6399 -1.8215 0.0000
6.6399 1.8215 0.0000
-2.5191 0.0000 9.1429
Dy Ho Ni
4 2 4
Direct
0.0966 0.0966 0.1720 Dy
0.3682 0.3682 0.5024 Dy
0.6318 0.6318 0.4976 Dy
0.9034 0.9034 0.8280 Dy
0.3556 0.3556 0.1317 Ho
0.6444 0.6444 0.8683 Ho
0.0350 0.0350 0.6448 Ni
0.2440 0.2440 0.7274 Ni
0.7560 0.7560 0.2726 Ni
0.9650 0.9650 0.3552 Ni
```

The 10 most intense peaks (2θ = 10–90°), in order of rising 2θ:
26.57 deg, I 22; 27.88 deg, I 40; 29.31 deg, I 45; 32.31 deg, I 42; 33.33 deg, I 91; 34.85 deg, I 100; 35.44 deg, I 36; 42.11 deg, I 37; 50.08 deg, I 30; 58.62 deg, I 24